# 1
Starting from the PBE geometry in OQMD, the powder XRD pattern of BaPrCuSe2S was calculated for a wavelength of 1.5418 Å.
Peak positions follow from Bragg's law for the DFT cell and can differ from measured ones.

Atomic structure:
abc: 7.3397 7.3397 10.7442
angles: 90.00 90.00 146.75
Sites, in units of the cell vectors:
Ba  0.2356  0.7644  0.7500
Ba  0.7644  0.2356  0.2500
Pr  0.5000  0.5000  0.0000
Pr  0.5000  0.5000  0.5000
Cu  0.0294  0.9706  0.2500
Cu  0.9706  0.0294  0.7500
Se  0.1402  0.8598  0.0689
Se  0.1402  0.8598  0.4311
Se  0.8598  0.1402  0.5689
Se  0.8598  0.1402  0.9311
S  0.4354  0.5646  0.2500
S  0.5646  0.4354  0.7500

Main lines, low angle first (2θ from 10° to 90°):
2θ/deg  I (rel.)
20.8  61
27.7  36
28.5  79
29.7  100
33.1  87
33.4  44
33.5  71
42.2  61
42.3  42
43.1  50

# 2
Starting from the PBE geometry in OQMD, the powder XRD pattern of Ba3Y2Cu2PtSe10 was calculated for a wavelength of 1.5418 Å.
Peak positions follow from Bragg's law for the DFT cell and can differ from measured ones.

Atomic structure:
abc: 8.5621 8.5621 9.3710
angles: 106.90 106.90 48.14
Sites, in units of the cell vectors:
Ba  0.0000  0.0000  0.0000
Ba  0.1569  0.1569  0.5680
Ba  0.8431  0.8431  0.4320
Y  0.3280  0.3280  0.1360
Y  0.6720  0.6720  0.8640
Cu  0.4034  0.4034  0.7635
Cu  0.5966  0.5966  0.2365
Pt  0.5000  0.5000  0.5000
Se  0.0898  0.5506  0.8744
Se  0.2409  0.7253  0.2902
Se  0.2747  0.7591  0.7098
Se  0.3306  0.3306  0.4550
Se  0.4494  0.9102  0.1257
Se  0.5506  0.0898  0.8744
Se  0.6694  0.6694  0.5450
Se  0.7253  0.2409  0.2902
Se  0.7591  0.2747  0.7098
Se  0.9102  0.4494  0.1257

Main lines, low angle first (2θ from 10° to 90°):
2θ/deg  I (rel.)
14.0  34
21.7  39
26.5  100
32.6  50
34.5  68
36.4  58
38.4  35
38.8  57
52.4  38
54.7  33

# 3
Starting from the PBE geometry in OQMD, the powder XRD pattern of Ba3Y2Cu2Te10Pt was calculated for a wavelength of 1.5418 Å.
Peak positions follow from Bragg's law for the DFT cell and can differ from measured ones.

Atomic structure:
abc: 9.2012 9.2012 10.2504
angles: 108.29 108.29 46.35
Sites, in units of the cell vectors:
Ba  0.0000  0.0000  0.0000
Ba  0.1572  0.1572  0.5755
Ba  0.8428  0.8428  0.4245
Y  0.3288  0.3288  0.1378
Y  0.6712  0.6712  0.8622
Cu  0.3937  0.3937  0.7377
Cu  0.6063  0.6063  0.2623
Te  0.0878  0.5511  0.8737
Te  0.2300  0.7325  0.2908
Te  0.2675  0.7700  0.7092
Te  0.3310  0.3310  0.4586
Te  0.4489  0.9122  0.1263
Te  0.5511  0.0878  0.8737
Te  0.6690  0.6690  0.5414
Te  0.7325  0.2300  0.2908
Te  0.7700  0.2675  0.7092
Te  0.9122  0.4489  0.1263
Pt  0.5000  0.5000  0.5000

Main lines, low angle first (2θ from 10° to 90°):
2θ/deg  I (rel.)
24.7  43
25.0  42
26.3  40
29.2  42
30.9  60
32.6  100
33.8  77
35.1  76
36.2  77
51.3  44

# 4
Starting from the PBE geometry in OQMD, the powder XRD pattern of BaCu2ReSe4 was calculated for a wavelength of 1.5418 Å.
Peak positions follow from Bragg's law for the DFT cell and can differ from measured ones.

Atomic structure:
abc: 10.8521 6.6014 6.6014
angles: 119.64 90.00 90.00
Sites, in units of the cell vectors:
Ba  0.0000  0.0000  0.0000
Ba  0.5000  0.0000  0.0000
Cu  0.1226  0.6097  0.1697
Cu  0.3774  0.6097  0.1697
Cu  0.6226  0.1697  0.6097
Cu  0.8774  0.1697  0.6097
Re  0.2500  0.2422  0.5190
Re  0.7500  0.5190  0.2422
Se  0.0829  0.9952  0.4973
Se  0.2500  0.3249  0.2055
Se  0.2500  0.6181  0.8579
Se  0.4171  0.9952  0.4973
Se  0.5829  0.4973  0.9952
Se  0.7500  0.2055  0.3249
Se  0.7500  0.8579  0.6181
Se  0.9171  0.4973  0.9952

Main lines, low angle first (2θ from 10° to 90°):
2θ/deg  I (rel.)
15.5  40
17.6  46
22.6  100
26.9  32
27.0  51
29.2  61
35.4  39
35.5  54
36.7  36
48.9  43

# 5
Starting from the PBE geometry in OQMD, the powder XRD pattern of BaCu4S3 was calculated for a wavelength of 1.5418 Å.
Peak positions follow from Bragg's law for the DFT cell and can differ from measured ones.

Atomic structure:
abc: 10.4538 4.0286 13.9686
angles: 90.00 90.00 90.00
Sites, in units of the cell vectors:
Ba  0.2399  0.2500  0.0030
Ba  0.2601  0.7500  0.5030
Ba  0.7399  0.2500  0.4970
Ba  0.7601  0.7500  0.9970
Cu  0.0334  0.2500  0.3656
Cu  0.0368  0.7500  0.8477
Cu  0.0651  0.7500  0.2561
Cu  0.1858  0.2500  0.7472
Cu  0.3142  0.7500  0.2472
Cu  0.4349  0.2500  0.7561
Cu  0.4632  0.2500  0.3477
Cu  0.4666  0.7500  0.8656
Cu  0.5334  0.2500  0.1344
Cu  0.5368  0.7500  0.6523
Cu  0.5651  0.7500  0.2439
Cu  0.6858  0.2500  0.7528
Cu  0.8142  0.7500  0.2528
Cu  0.9349  0.2500  0.7439
Cu  0.9632  0.2500  0.1523
Cu  0.9666  0.7500  0.6344
S  0.0463  0.7500  0.0984
S  0.0633  0.2500  0.6075
S  0.2436  0.2500  0.3142
S  0.2564  0.7500  0.8142
S  0.4367  0.7500  0.1075
S  0.4537  0.2500  0.5984
S  0.5463  0.7500  0.4016
S  0.5633  0.2500  0.8925
S  0.7436  0.2500  0.1858
S  0.7564  0.7500  0.6858
S  0.9367  0.7500  0.3925
S  0.9537  0.2500  0.9016

Main lines, low angle first (2θ from 10° to 90°):
2θ/deg  I (rel.)
21.2  44
24.5  28
30.6  99
30.8  100
34.3  30
34.6  80
39.2  50
45.0  54
53.1  42
55.5  35

# 6
Starting from the PBE geometry in OQMD, the powder XRD pattern of BaScCuTeS2 was calculated for a wavelength of 1.5418 Å.
Peak positions follow from Bragg's law for the DFT cell and can differ from measured ones.

Atomic structure:
abc: 7.5603 7.5603 10.5093
angles: 90.00 90.00 149.26
Sites, in units of the cell vectors:
Ba  0.2173  0.7827  0.7500
Ba  0.7827  0.2173  0.2500
Sc  0.0000  0.0000  0.0000
Sc  0.0000  0.0000  0.5000
Cu  0.4750  0.5250  0.2500
Cu  0.5250  0.4750  0.7500
Te  0.0899  0.9101  0.2500
Te  0.9101  0.0899  0.7500
S  0.3885  0.6115  0.0643
S  0.3885  0.6115  0.4357
S  0.6115  0.3885  0.5643
S  0.6115  0.3885  0.9357

Main lines, low angle first (2θ from 10° to 90°):
2θ/deg  I (rel.)
16.9  65
25.9  18
30.1  100
33.6  45
34.1  30
38.8  27
45.3  23
45.4  13
52.5  20
52.7  24